Starting from a cell relaxed with PBE, the powder diffractogram of Pu4PdPt2Au was computed for Cu Kα (weighted mean of Kα1 and Kα2).
Neutral-atom scattering factors, no anomalous dispersion.

abc: 5.0149 5.0149 24.4894
angles: 90.00 90.00 120.00
Space group R-3m (No. 166, hexagonal axes)
Asymmetric unit:
Pu: 0.0000 0.0000 0.1227 [6 per cell]
Pu: 0.0000 0.0000 0.3728 [6 per cell]
Pd: 0.0000 0.0000 0.0000 [3 per cell]
Pt: 0.0000 0.0000 0.2508 [6 per cell]
Au: 0.0000 0.0000 0.5000 [3 per cell]

The 10 most intense peaks (2θ from 15° to 90°), sorted by position:
| d/Å | 2θ/deg | intensity | (hkl) |
| --- | --- | --- | --- |
| 3.542 | 25.1 | 3 | 1 0 4 |
| 3.250 | 27.4 | 1 | 0 1 5 |
| 2.505 | 35.9 | 100 | 1 1 0 |
| 1.771 | 51.6 | 18 | 2 0 8 |
| 1.447 | 64.4 | 28 | 3 0 0 |
| 1.444 | 64.6 | 9 | 1 0 16 |
| 1.254 | 75.9 | 6 | 2 2 0 |
| 1.251 | 76.1 | 6 | 0 2 16 |
| 1.121 | 86.9 | 9 | 3 1 8 |
| 1.119 | 87.0 | 8 | 2 1 16 |